Entry 1:
Computed powder diffractogram
Compound: AgOs3Se5
Radiation: Cu Kα (λ = 1.5418 Å)
Structure: a DFT-relaxed cell (PBE, OQMD)

Principal peaks in the range 10° ≤ 2θ ≤ 90°, by angle:
d 7.027, 2θ 12.6, rel. 100.0
d 4.053, 2θ 21.9, rel. 29.3
d 2.481, 2θ 36.2, rel. 33.8
d 2.340, 2θ 38.5, rel. 57.1
d 2.026, 2θ 44.7, rel. 88.0
d 1.433, 2θ 65.1, rel. 32.4

Cell and atoms:
abc: 5.7288 5.7288 7.0268
angles: 90.00 90.00 120.00
Space group P6/mmm (No. 191)
Unique sites:
Ag (0.0000, 0.0000, 0.0000) x1
Os (0.0000, 0.5000, 0.5000) x3
Se (0.0000, 0.0000, 0.5000) x1
Se (0.3333, 0.6667, 0.2379) x4

---

Entry 2:
Computed powder diffractogram
Compound: AgP2
Radiation: Cu Kα (λ = 1.5418 Å)
Structure: a DFT-relaxed cell (PBE, OQMD)

Principal peaks in the range 10° ≤ 2θ ≤ 90°, by angle:
d 4.173, 2θ 21.3, rel. 40.6
d 3.055, 2θ 29.2, rel. 100.0
d 2.864, 2θ 31.2, rel. 28.2
d 2.661, 2θ 33.7, rel. 19.4
d 2.335, 2θ 38.6, rel. 36.2
d 1.907, 2θ 47.7, rel. 40.0

Cell and atoms:
abc: 6.2351 5.1102 7.8780
angles: 90.00 113.44 90.00
Space group P2_1/c (No. 14)
Unique sites:
Ag (0.1460, 0.0461, 0.4027) x4
P (0.2757, 0.7327, 0.6991) x4
P (0.4103, 0.0935, 0.0838) x4

---

Entry 3:
Computed powder diffractogram
Compound: Ag8P
Radiation: Cu Kα (λ = 1.5418 Å)
Structure: a DFT-relaxed cell (PBE, OQMD)

Principal peaks in the range 10° ≤ 2θ ≤ 90°, by angle:
d 4.089, 2θ 21.7, rel. 87.1
d 2.743, 2θ 32.7, rel. 44.8
d 2.361, 2θ 38.1, rel. 100.0
d 2.278, 2θ 39.6, rel. 47.8
d 1.789, 2θ 51.0, rel. 72.5
d 1.186, 2θ 81.1, rel. 20.5

Cell and atoms:
abc: 9.4428 9.4428 2.7425
angles: 90.00 90.00 120.00
Space group P6/mmm (No. 191)
Unique sites:
Ag (0.1671, 0.3341, 0.0000) x6
Ag (0.3333, 0.6667, 0.0000) x2
P (0.0000, 0.0000, 0.5000) x1

---

Entry 4:
Computed powder diffractogram
Compound: Ag5P2
Radiation: Cu Kα (λ = 1.5418 Å)
Structure: a DFT-relaxed cell (PBE, OQMD)

Principal peaks in the range 10° ≤ 2θ ≤ 90°, by angle:
d 2.561, 2θ 35.0, rel. 72.7
d 2.475, 2θ 36.3, rel. 50.3
d 2.451, 2θ 36.7, rel. 49.4
d 2.386, 2θ 37.7, rel. 54.3
d 2.271, 2θ 39.7, rel. 100.0
d 2.216, 2θ 40.7, rel. 46.0

Cell and atoms:
abc: 9.9547 19.6105 5.1159
angles: 90.00 90.00 90.00
Space group Fdd2 (No. 43)
Unique sites:
Ag (0.0000, 0.0000, 0.0000) x8
Ag (0.0710, 0.3656, 0.3095) x16
Ag (0.0793, 0.2671, 0.7773) x16
P (0.0773, 0.4013, 0.8130) x16

---

Entry 5:
Computed powder diffractogram
Compound: AgP6Pd
Radiation: Cu Kα (λ = 1.5418 Å)
Structure: a DFT-relaxed cell (PBE, OQMD)

Principal peaks in the range 10° ≤ 2θ ≤ 90°, by angle:
d 4.904, 2θ 18.1, rel. 100.0
d 3.003, 2θ 29.8, rel. 88.4
d 2.561, 2θ 35.0, rel. 98.7
d 2.123, 2θ 42.6, rel. 70.7
d 1.949, 2θ 46.6, rel. 71.6
d 1.501, 2θ 61.8, rel. 37.2

Cell and atoms:
abc: 8.4936 8.4936 8.4936
angles: 90.00 90.00 90.00
Space group F-43m (No. 216)
Unique sites:
Ag (0.0000, 0.0000, 0.0000) x4
P (0.0436, 0.2500, 0.7500) x24
Pd (0.2500, 0.2500, 0.2500) x4

---

Entry 6:
Computed powder diffractogram
Compound: RbAg2PSe3S
Radiation: Cu Kα (λ = 1.5418 Å)
Structure: a DFT-relaxed cell (PBE, OQMD)

Principal peaks in the range 10° ≤ 2θ ≤ 90°, by angle:
d 3.326, 2θ 26.8, rel. 41.1
d 3.298, 2θ 27.0, rel. 100.0
d 3.253, 2θ 27.4, rel. 54.2
d 2.948, 2θ 30.3, rel. 41.6
d 1.982, 2θ 45.8, rel. 41.5
d 1.883, 2θ 48.3, rel. 32.7

Cell and atoms:
abc: 8.8723 9.8681 6.5388
angles: 90.00 131.44 90.00
Space group Cm (No. 8)
Unique sites:
Rb (0.0000, 0.0000, 0.0000) x2
Ag (0.0081, 0.2555, 0.5082) x4
P (0.0121, 0.5000, 0.0292) x2
Se (0.1534, 0.3138, 0.0182) x4
Se (0.1847, 0.0000, 0.6514) x2
S (0.0509, 0.5000, 0.3769) x2

---

Entry 7:
Computed powder diffractogram
Compound: RbAgPSe2S
Radiation: Cu Kα (λ = 1.5418 Å)
Structure: a DFT-relaxed cell (PBE, OQMD)

Principal peaks in the range 10° ≤ 2θ ≤ 90°, by angle:
d 5.852, 2θ 15.1, rel. 42.0
d 3.171, 2θ 28.1, rel. 42.8
d 3.134, 2θ 28.5, rel. 100.0
d 2.766, 2θ 32.4, rel. 18.9
d 2.553, 2θ 35.1, rel. 17.3
d 1.823, 2θ 50.0, rel. 23.3

Cell and atoms:
abc: 12.6851 7.4164 8.3091
angles: 90.00 112.80 90.00
Space group C2/m (No. 12)
Unique sites:
Rb (0.1934, 0.0000, 0.2362) x4
Ag (0.0000, 0.2563, 0.5000) x4
P (0.0210, 0.5000, 0.1477) x4
Se (0.0720, 0.2513, 0.8247) x8
S (0.1893, 0.5000, 0.2832) x4

---

Entry 8:
Computed powder diffractogram
Compound: RbAg2PSe2S2
Radiation: Cu Kα (λ = 1.5418 Å)
Structure: a DFT-relaxed cell (PBE, OQMD)

Principal peaks in the range 10° ≤ 2θ ≤ 90°, by angle:
d 3.428, 2θ 26.0, rel. 27.4
d 3.292, 2θ 27.1, rel. 74.5
d 3.219, 2θ 27.7, rel. 100.0
d 2.424, 2θ 37.1, rel. 50.1
d 1.952, 2θ 46.5, rel. 27.1
d 1.849, 2θ 49.3, rel. 25.9

Cell and atoms:
abc: 10.9719 6.8580 6.8586
angles: 90.00 126.83 90.00
Space group C2 (No. 5)
Unique sites:
Rb (0.0000, 0.0000, 0.0000) x2
Ag (0.2496, 0.4924, 0.2614) x4
P (0.0000, 0.4725, 0.5000) x2
Se (0.1416, 0.6677, 0.8270) x4
S (0.1386, 0.3021, 0.4594) x4